No. 1
Theoretical X-ray diffraction stick pattern
Compound: CaMg14Co
Radiation: Cu Kα (λ = 1.5418 Å)
Structure: DFT lattice parameters and positions (GGA-PBE)

Most intense lines, 5 to 70 degrees two-theta, sorted by position:
| 2theta | I (rel.) | index |
| --- | --- | --- |
| 8.7 | 20 | 1 0 0 |
| 31.8 | 10 | 0 0 4 |
| 32.7 | 31 | 0 2 2 |
| 35.3 | 40 | 4 0 0 |
| 36.5 | 60 | 2 0 4 |
| 37.3 | 100 | 2 2 2 |
| 48.9 | 18 | 4 2 2 |
| 57.2 | 17 | 0 2 6 |
| 64.7 | 16 | 6 2 2 |
| 69.0 | 17 | 4 2 6 |

Atomic structure:
a = 10.1736 Å, b = 6.2577 Å, c = 11.2689 Å
α = 90.00°, β = 90.00°, γ = 90.00°
Space group Amm2 (No. 38)
Asymmetric unit:
1 Ca 0.0000 0.0000 0.0000 x2
2 Mg 0.0000 0.2371 0.2544 x4
3 Mg 0.2209 0.0000 0.6398 x4
4 Mg 0.2477 0.2415 0.4025 x8
5 Mg 0.2640 0.0000 0.1543 x4
6 Mg 0.5000 0.0000 0.4899 x2
7 Mg 0.5000 0.0000 0.9857 x2
8 Mg 0.5000 0.2450 0.7392 x4
9 Co 0.0000 0.0000 0.4747 x2

No. 2
Theoretical X-ray diffraction stick pattern
Compound: AgHg
Radiation: Cu Kα (λ = 1.5418 Å)
Structure: DFT lattice parameters and positions (GGA-PBE)

Most intense lines, 5 to 70 degrees two-theta, sorted by position:
| 2theta | I (rel.) | index |
| --- | --- | --- |
| 25.8 | 9 | 1 0 0 |
| 36.8 | 100 | 1 1 0 |
| 45.5 | 3 | 1 1 1 |
| 53.0 | 17 | 2 0 0 |
| 59.9 | 4 | 2 1 0 |
| 66.3 | 35 | 2 1 1 |

Atomic structure:
a = 3.4532 Å, b = 3.4532 Å, c = 3.4532 Å
α = 90.00°, β = 90.00°, γ = 90.00°
Space group Pm-3m (No. 221)
Asymmetric unit:
1 Ag 0.0000 0.0000 0.0000 x1
2 Hg 0.5000 0.5000 0.5000 x1

No. 3
Theoretical X-ray diffraction stick pattern
Compound: Hf2Co7
Radiation: Cu Kα (λ = 1.5418 Å)
Structure: DFT lattice parameters and positions (GGA-PBE)

Most intense lines, 5 to 70 degrees two-theta, sorted by position:
| 2theta | I (rel.) | index |
| --- | --- | --- |
| 32.5 | 37 | 1 1 3 |
| 36.9 | 51 | 0 2 4 |
| 38.4 | 49 | 1 3 -1 |
| 39.0 | 52 | 2 0 0 |
| 42.4 | 30 | 1 1 -5 |
| 43.5 | 75 | 1 3 -3 |
| 44.9 | 37 | 2 2 0 |
| 45.2 | 100 | 1 3 3 |
| 45.2 | 31 | 0 0 6 |
| 47.8 | 32 | 2 0 -4 |

Atomic structure:
a = 4.6310 Å, b = 8.2973 Å, c = 12.0691 Å
α = 90.00°, β = 94.41°, γ = 90.00°
Space group C2/m (No. 12)
Asymmetric unit:
1 Hf 0.2101 0.0000 0.1171 x4
2 Hf 0.2398 0.5000 0.6160 x4
3 Co 0.0137 0.2502 0.7495 x8
4 Co 0.1983 0.3325 0.0766 x8
5 Co 0.2271 0.1662 0.5773 x8
6 Co 0.2360 0.5000 0.2488 x4

No. 4
Theoretical X-ray diffraction stick pattern
Compound: Nd2Co3Ge5
Radiation: Cu Kα (λ = 1.5418 Å)
Structure: DFT lattice parameters and positions (GGA-PBE)

Most intense lines, 5 to 70 degrees two-theta, sorted by position:
| 2theta | I (rel.) | index |
| --- | --- | --- |
| 30.3 | 15 | 0 0 2 |
| 34.8 | 51 | 3 2 1 |
| 35.5 | 100 | 2 0 2 |
| 43.3 | 51 | 0 4 2 |
| 51.5 | 18 | 5 2 1 |
| 56.7 | 10 | 3 6 1 |
| 56.8 | 12 | 3 2 3 |
| 58.0 | 9 | 4 4 2 |
| 63.0 | 9 | 0 0 4 |
| 65.2 | 12 | 6 4 0 |

Atomic structure:
a = 9.8080 Å, b = 11.8340 Å, c = 5.8985 Å
α = 90.00°, β = 90.00°, γ = 90.00°
Space group Ibam (No. 72)
Asymmetric unit:
1 Nd 0.2359 0.1344 0.0000 x8
2 Co 0.0000 0.5000 0.2500 x4
3 Co 0.1077 0.1372 0.5000 x8
4 Ge 0.0000 0.0000 0.2500 x4
5 Ge 0.0000 0.2680 0.2500 x8
6 Ge 0.1584 0.4027 0.0000 x8

No. 5
Theoretical X-ray diffraction stick pattern
Compound: BaMn2Bi2
Radiation: Cu Kα (λ = 1.5418 Å)
Structure: DFT lattice parameters and positions (GGA-PBE)

Most intense lines, 5 to 70 degrees two-theta, sorted by position:
| 2theta | I (rel.) | index |
| --- | --- | --- |
| 20.7 | 18 | 1 0 1 |
| 27.0 | 100 | 1 0 3 |
| 28.1 | 39 | 1 1 0 |
| 30.7 | 14 | 1 1 2 |
| 36.8 | 24 | 1 0 5 |
| 37.6 | 29 | 1 1 4 |
| 40.1 | 35 | 2 0 0 |
| 49.1 | 40 | 2 1 3 |
| 55.6 | 15 | 2 1 5 |
| 66.1 | 15 | 2 0 8 |

Atomic structure:
a = 4.4926 Å, b = 4.4926 Å, c = 14.5564 Å
α = 90.00°, β = 90.00°, γ = 90.00°
Space group I4/mmm (No. 139)
Asymmetric unit:
1 Ba 0.0000 0.0000 0.0000 x2
2 Mn 0.0000 0.5000 0.2500 x4
3 Bi 0.0000 0.0000 0.3668 x4

> Which formula does entry 4 have?

Nd2Co3Ge5